Starting from a cell relaxed with GGA-PBE, the powder diffraction line list of Pm5Sn3Pb was calculated for Cu Ka.

Peak list (10 most intense, 2θ = 15–90°, in order of rising 2θ)
2θ = 31.3°, intensity 42
2θ = 32.2°, intensity 77
2θ = 32.5°, intensity 100
2θ = 41.2°, intensity 11
2θ = 46.4°, intensity 29
2θ = 49.5°, intensity 9
2θ = 50.0°, intensity 12
2θ = 54.7°, intensity 9
2θ = 57.6°, intensity 20
2θ = 64.9°, intensity 21

Cell and atoms:
Cell lengths 9.638, 9.638, 6.714 Å; angles 90.00, 90.00, 120.00 degrees
Atoms (fractional coordinates):
1 Pm 0.000 0.274 0.250
2 Pm 0.000 0.726 0.750
3 Pm 0.274 0.000 0.250
4 Pm 0.274 0.274 0.750
5 Pm 0.333 0.667 0.000
6 Pm 0.333 0.667 0.500
7 Pm 0.667 0.333 0.000
8 Pm 0.667 0.333 0.500
9 Pm 0.726 0.000 0.750
10 Pm 0.726 0.726 0.250
11 Sn 0.000 0.383 0.750
12 Sn 0.000 0.617 0.250
13 Sn 0.383 0.000 0.750
14 Sn 0.383 0.383 0.250
15 Sn 0.617 0.000 0.250
16 Sn 0.617 0.617 0.750
17 Pb 0.000 0.000 0.000
18 Pb 0.000 0.000 0.500